Record 1
Simulated powder X-ray diffraction pattern
Compound: TbHg4Pd2
Radiation: λ = 1.5418 Å (Cu Kα)
Structure: a GGA-PBE-relaxed structure
Lines closer than 0.1° are merged.

Structure:
Cell lengths 4.451, 19.243, 3.682 Å; angles 90.00, 90.00, 90.00 degrees
Positions (direct):
Tb1 0.000 0.000 0.000
Tb2 0.500 0.500 0.000
Hg1 0.000 0.152 0.500
Hg2 0.000 0.305 0.000
Hg3 0.000 0.695 0.000
Hg4 0.000 0.848 0.500
Hg5 0.500 0.195 0.000
Hg6 0.500 0.348 0.500
Hg7 0.500 0.652 0.500
Hg8 0.500 0.805 0.000
Pd1 0.000 0.432 0.500
Pd2 0.000 0.568 0.500
Pd3 0.500 0.068 0.500
Pd4 0.500 0.932 0.500

Top 8 peaks for 2θ = 10–90°, by angle:
30.58°, I = 25; 34.57°, I = 100; 38.49°, I = 42; 40.54°, I = 25; 49.51°, I = 14; 53.74°, I = 19; 64.41°, I = 19; 69.44°, I = 16



Record 2
Simulated powder X-ray diffraction pattern
Compound: ZrCdAg3
Radiation: λ = 1.5418 Å (Cu Kα)
Structure: a GGA-PBE-relaxed structure
Lines closer than 0.1° are merged.

Structure:
Cell lengths 6.670, 4.324, 6.767 Å; angles 90.00, 90.81, 90.00 degrees
Positions (direct):
Zr1 0.046 0.250 0.343
Zr2 0.954 0.750 0.657
Cd1 0.466 0.250 0.159
Cd2 0.534 0.750 0.841
Ag1 0.154 0.750 0.056
Ag2 0.244 0.250 0.755
Ag3 0.352 0.750 0.451
Ag4 0.648 0.250 0.549
Ag5 0.756 0.750 0.245
Ag6 0.846 0.250 0.944

Top 8 peaks for 2θ = 10–90°, by angle:
36.42°, I = 100; 41.78°, I = 17; 42.11°, I = 16; 43.00°, I = 15; 60.82°, I = 11; 61.51°, I = 10; 72.77°, I = 12; 73.17°, I = 6



Record 3
Simulated powder X-ray diffraction pattern
Compound: Li2AgN
Radiation: λ = 1.5418 Å (Cu Kα)
Structure: a GGA-PBE-relaxed structure
Lines closer than 0.1° are merged.

Structure:
Cell lengths 5.295, 7.622, 4.740 Å; angles 90.00, 90.00, 90.00 degrees
Positions (direct):
Li1 0.122 0.226 0.000
Li2 0.243 0.960 0.179
Li3 0.257 0.960 0.679
Li4 0.378 0.226 0.500
Li5 0.622 0.774 0.000
Li6 0.743 0.040 0.179
Li7 0.757 0.040 0.679
Li8 0.878 0.774 0.500
Ag1 0.094 0.600 0.993
Ag2 0.406 0.600 0.493
Ag3 0.594 0.400 0.993
Ag4 0.906 0.400 0.493
N1 0.030 0.141 0.412
N2 0.470 0.141 0.912
N3 0.530 0.859 0.412
N4 0.970 0.859 0.912

Top 8 peaks for 2θ = 10–90°, by angle:
11.61°, I = 100; 27.84°, I = 36; 28.87°, I = 17; 34.63°, I = 34; 37.96°, I = 15; 38.97°, I = 22; 40.80°, I = 25; 43.90°, I = 26



Record 4
Simulated powder X-ray diffraction pattern
Compound: K2Zr3PbO8
Radiation: λ = 1.5418 Å (Cu Kα)
Structure: a GGA-PBE-relaxed structure
Lines closer than 0.1° are merged.

Structure:
Cell lengths 7.546, 7.546, 7.546 Å; angles 51.76, 51.76, 51.76 degrees
Positions (direct):
K1 0.000 0.000 0.000
K2 0.369 0.369 0.369
Zr1 0.369 0.369 0.877
Zr2 0.369 0.877 0.369
Zr3 0.877 0.369 0.369
Pb1 0.760 0.760 0.760
O1 0.111 0.111 0.552
O2 0.111 0.552 0.111
O3 0.145 0.145 0.145
O4 0.168 0.633 0.633
O5 0.552 0.111 0.111
O6 0.588 0.588 0.588
O7 0.633 0.168 0.633
O8 0.633 0.633 0.168

Top 8 peaks for 2θ = 10–90°, by angle:
13.59°, I = 68; 18.00°, I = 54; 23.97°, I = 91; 27.66°, I = 83; 30.41°, I = 100; 31.70°, I = 83; 49.08°, I = 43; 55.82°, I = 42



Record 5
Simulated powder X-ray diffraction pattern
Compound: K6Rb2AsO
Radiation: λ = 1.5418 Å (Cu Kα)
Structure: a GGA-PBE-relaxed structure
Lines closer than 0.1° are merged.

Structure:
Cell lengths 8.209, 8.209, 8.231 Å; angles 108.82, 108.82, 70.88 degrees
Positions (direct):
K1 0.174 0.775 0.723
K2 0.223 0.223 0.672
K3 0.225 0.826 0.277
K4 0.775 0.174 0.723
K5 0.777 0.777 0.328
K6 0.826 0.225 0.277
Rb1 0.310 0.310 0.186
Rb2 0.690 0.690 0.814
As1 0.500 0.500 0.000
O1 0.000 0.000 0.500

Top 8 peaks for 2θ = 10–90°, by angle:
18.58°, I = 100; 23.66°, I = 72; 26.67°, I = 85; 28.92°, I = 58; 29.11°, I = 90; 34.92°, I = 38; 37.60°, I = 35; 44.35°, I = 30



Record 6
Simulated powder X-ray diffraction pattern
Compound: VCo2Ni5
Radiation: λ = 1.5418 Å (Cu Kα)
Structure: a GGA-PBE-relaxed structure
Lines closer than 0.1° are merged.

Structure:
Cell lengths 5.990, 5.036, 4.776 Å; angles 75.20, 54.37, 50.43 degrees
Positions (direct):
V1 0.000 0.000 0.000
Co1 0.410 0.910 0.090
Co2 0.910 0.410 0.590
Ni1 0.000 0.497 0.000
Ni2 0.408 0.408 0.092
Ni3 0.497 0.000 0.503
Ni4 0.499 0.499 0.501
Ni5 0.908 0.908 0.592

Top 8 peaks for 2θ = 10–90°, by angle:
41.19°, I = 10; 41.87°, I = 30; 44.38°, I = 44; 47.06°, I = 59; 47.67°, I = 100; 62.65°, I = 16; 75.54°, I = 16; 84.10°, I = 17